Record 1
The following is a theoretical X-ray powder pattern of Ce2S3. It was derived from a crystal structure in the Materials Project, relaxed with GGA-PBE, using a wavelength of 1.5418 Å.

Largest 10 diffraction maxima, by angle, 2θ = 10–80°:
Position (°2θ), Rel. int.
24.6, 41
25.7, 100
26.0, 72
28.1, 56
34.7, 76
36.6, 29
37.2, 35
38.6, 49
44.9, 38
69.7, 30

Structural model:
Cell: 7.455 4.039 15.457 Å, 90.00 90.00 90.00°
Fractional positions:
Ce1 0.137 0.250 0.207
Ce2 0.241 0.750 0.457
Ce3 0.259 0.250 0.957
Ce4 0.363 0.750 0.707
Ce5 0.637 0.250 0.293
Ce6 0.741 0.750 0.043
Ce7 0.759 0.250 0.543
Ce8 0.863 0.750 0.793
S1 0.011 0.250 0.392
S2 0.130 0.750 0.068
S3 0.147 0.250 0.780
S4 0.353 0.750 0.280
S5 0.370 0.250 0.568
S6 0.489 0.750 0.892
S7 0.511 0.250 0.108
S8 0.630 0.750 0.432
S9 0.647 0.250 0.720
S10 0.853 0.750 0.220
S11 0.870 0.250 0.932
S12 0.989 0.750 0.608



Record 2
The following is a theoretical X-ray powder pattern of ErSiPd. It was derived from a crystal structure in the Materials Project, relaxed with GGA-PBE, using a wavelength of 1.5418 Å.

Largest 10 diffraction maxima, by angle, 2θ = 10–80°:
Position (°2θ), Rel. int.
24.0, 28
34.1, 55
35.0, 46
35.4, 100
37.6, 23
40.8, 19
41.3, 39
42.6, 31
56.2, 23
67.3, 26

Structural model:
Cell: 5.575 5.575 6.930 Å, 128.37 128.37 44.75°
Fractional positions:
Er1 0.048 0.048 0.288
Er2 0.952 0.952 0.712
Si1 0.347 0.347 0.296
Si2 0.653 0.653 0.704
Pd1 0.317 0.317 0.876
Pd2 0.683 0.683 0.124